BaCaV2O7: simulated X-ray diffraction stick pattern (Cu Kα (λ = 1.5418 Å)), based on DFT lattice parameters and positions (PBE+U).

Crystal structure
Unit cell a=15.6916 b=5.8678 c=7.6148 alpha=90.00 beta=90.00 gamma=90.00
Sites, in units of the cell vectors:
1 Ba 0.2145 0.2500 0.1371
2 Ba 0.2855 0.7500 0.6371
3 Ba 0.7145 0.2500 0.3629
4 Ba 0.7855 0.7500 0.8629
5 Ca 0.0532 0.7500 0.8873
6 Ca 0.4468 0.2500 0.3873
7 Ca 0.5532 0.7500 0.6127
8 Ca 0.9468 0.2500 0.1127
9 V 0.0609 0.7500 0.3004
10 V 0.1419 0.2500 0.6613
11 V 0.3581 0.7500 0.1613
12 V 0.4391 0.2500 0.8004
13 V 0.5609 0.7500 0.1996
14 V 0.6419 0.2500 0.8387
15 V 0.8581 0.7500 0.3387
16 V 0.9391 0.2500 0.6996
17 O 0.0345 0.2500 0.5629
18 O 0.0597 0.5185 0.1557
19 O 0.0597 0.9815 0.1557
20 O 0.1509 0.7500 0.4182
21 O 0.1534 0.0140 0.7947
22 O 0.1534 0.4860 0.7947
23 O 0.2210 0.2500 0.5105
24 O 0.2790 0.7500 0.0105
25 O 0.3466 0.5140 0.2947
26 O 0.3466 0.9860 0.2947
27 O 0.3491 0.2500 0.9182
28 O 0.4403 0.0185 0.6557
29 O 0.4403 0.4815 0.6557
30 O 0.4655 0.7500 0.0629
31 O 0.5345 0.2500 0.9371
32 O 0.5597 0.5185 0.3443
33 O 0.5597 0.9815 0.3443
34 O 0.6509 0.7500 0.0818
35 O 0.6534 0.0140 0.7053
36 O 0.6534 0.4860 0.7053
37 O 0.7210 0.2500 0.9895
38 O 0.7790 0.7500 0.4895
39 O 0.8466 0.5140 0.2053
40 O 0.8466 0.9860 0.2053
41 O 0.8491 0.2500 0.5818
42 O 0.9403 0.0185 0.8443
43 O 0.9403 0.4815 0.8443
44 O 0.9655 0.7500 0.4371

The 8 most intense peaks (2θ from 10° to 90°), most intense first:
Position (°2θ)  I/Imax
27.35  100.0
28.52  82.7
22.23  72.3
30.47  57.9
24.05  49.7
39.15  46.3
29.80  44.0
36.31  38.7

=====

BaCaYVO6: simulated X-ray diffraction stick pattern (Cu Kα (λ = 1.5418 Å)), based on DFT lattice parameters and positions (PBE+U).

Crystal structure
Unit cell a=5.8344 b=5.8344 c=5.8344 alpha=60.00 beta=60.00 gamma=60.00
Sites, in units of the cell vectors:
1 Ba 0.0000 0.0000 0.0000
2 Ca 0.5000 0.5000 0.5000
3 Y 0.7500 0.7500 0.7500
4 V 0.2500 0.2500 0.2500
5 O 0.0192 0.0192 0.4808
6 O 0.0192 0.4808 0.0192
7 O 0.0192 0.4808 0.4808
8 O 0.4808 0.0192 0.0192
9 O 0.4808 0.0192 0.4808
10 O 0.4808 0.4808 0.0192

The 8 most intense peaks (2θ from 10° to 90°), most intense first:
Position (°2θ)  I/Imax
30.65  100.0
54.48  37.6
43.89  36.9
18.63  23.4
63.81  21.4
88.72  20.2
72.44  17.0
36.10  15.9